This entry pairs a crystal structure of Ce2Bi3S8 with its calculated powder X-ray diffraction pattern. Radiation: Cu Ka. Structure: a GGA-PBE-relaxed structure.

Peak list (6 most intense, 5 to 70 degrees two-theta, in order of rising 2θ)
two_theta	Rel. int.
13.67	480
25.22	199
26.37	304
31.03	1000
43.99	261
44.89	197

Crystal structure
```
data_Ce2Bi3S8
_chemical_formula_sum 'Ce2 Bi3 S8'
_symmetry_space_group_name_H-M 'P 1'
_symmetry_Int_Tables_number 1
_cell_length_a 8.235
_cell_length_b 8.235
_cell_length_c 6.927
_cell_angle_alpha 107.82
_cell_angle_beta 107.82
_cell_angle_gamma 60.83
loop_
_symmetry_equiv_pos_as_xyz
'x,y,z'
loop_
_atom_site_label
_atom_site_type_symbol
_atom_site_fract_x
_atom_site_fract_y
_atom_site_fract_z
Ce1 Ce 0.242 0.242 0.450
Ce2 Ce 0.758 0.758 0.550
Bi1 Bi 0.238 0.762 0.500
Bi2 Bi 0.500 0.500 0.000
Bi3 Bi 0.762 0.238 0.500
S1 S 0.132 0.132 0.704
S2 S 0.145 0.595 0.726
S3 S 0.379 0.379 0.248
S4 S 0.405 0.855 0.274
S5 S 0.595 0.145 0.726
S6 S 0.621 0.621 0.752
S7 S 0.855 0.405 0.274
S8 S 0.868 0.868 0.296
```